Starting from a structure optimized by DFT (GGA+U), the powder diffraction line list of Mn8NO16 was computed for Cu Kα.
Kinematic intensities with the Lorentz-polarization factor, no thermal factor.

Crystal structure
Unit cell a=5.8661 b=7.1848 c=7.1853 alpha=87.61 beta=78.23 gamma=78.22
Space group P-1 (No. 2)
Asymmetric unit:
Mn  0.0755  0.1825  0.0150 x2
Mn  0.1668  0.5149  0.3176 x2
Mn  0.3332  0.4851  0.6824 x2
Mn  0.4243  0.8176  0.9851 x2
N  0.5000  0.0000  0.5000 x1
O  0.0217  0.6223  0.7922 x2
O  0.1475  0.3609  0.5485 x2
O  0.1676  0.7078  0.1224 x2
O  0.1718  0.9516  0.8609 x2
O  0.3280  0.0485  0.1392 x2
O  0.3324  0.2929  0.8782 x2
O  0.3522  0.6391  0.4515 x2
O  0.4789  0.3779  0.2073 x2

Main lines, most intense first (2θ from 5° to 70°):
Position (°2θ)  I (rel.)  index
12.58  100  0 1 0
17.83  88  0 1 1
36.70  75  2 2 0
28.37  67  0 2 1
59.11  44  2 4 2
48.88  41  2 3 2
68.33  30  2 5 0
36.12  24  0 2 2
41.09  21  2 2 2
55.42  20  0 3 3